Record 1
The following is a computed powder XRD pattern of NaSmAgBr5. It was derived from the PBE geometry in Alexandria, using Cu Kα, 1.54184 Å.

Peak list (8 most intense, 15 to 90 degrees two-theta, sorted by position)
two_theta	d/Å	I/Imax
18.7	4.749	75
22.1	4.014	90
25.0	3.558	100
25.8	3.459	88
32.1	2.787	54
37.3	2.411	45
46.4	1.955	55
47.8	1.902	39

Crystal structure
abc: 8.023 8.023 10.578
angles: 100.52 100.52 117.41
Fractional positions:
Na 0.067 0.933 0.750
Na 0.933 0.067 0.250
Sm 0.500 0.500 0.000
Sm 0.500 0.500 0.500
Ag 0.217 0.783 0.250
Ag 0.783 0.217 0.750
Br 0.082 0.253 0.952
Br 0.152 0.493 0.365
Br 0.253 0.082 0.452
Br 0.415 0.585 0.750
Br 0.493 0.152 0.865
Br 0.507 0.848 0.135
Br 0.585 0.415 0.250
Br 0.747 0.918 0.548
Br 0.848 0.507 0.635
Br 0.918 0.747 0.048

Record 2
The following is a computed powder XRD pattern of YGa2Tc4. It was derived from the PBE geometry in Alexandria, using Cu Kα, 1.54184 Å.

Peak list (8 most intense, 15 to 90 degrees two-theta, sorted by position)
two_theta	d/Å	I/Imax
35.8	2.507	100
38.5	2.340	12
43.2	2.096	72
44.3	2.043	65
55.1	1.666	14
62.7	1.482	23
74.4	1.276	22
82.4	1.170	18

Crystal structure
abc: 7.357 7.357 4.191
angles: 90.00 90.00 146.89
Fractional positions:
Y 0.000 0.000 0.000
Ga 0.412 0.588 0.500
Ga 0.588 0.412 0.500
Tc 0.198 0.802 0.500
Tc 0.301 0.699 0.000
Tc 0.699 0.301 0.000
Tc 0.802 0.198 0.500

Record 3
The following is a computed powder XRD pattern of Pr4DyTe5. It was derived from the PBE geometry in Alexandria, using Cu Kα, 1.54184 Å.

Peak list (8 most intense, 15 to 90 degrees two-theta, sorted by position)
two_theta	d/Å	I/Imax
27.7	3.217	47
28.2	3.164	100
40.0	2.256	70
40.3	2.237	38
49.6	1.837	38
58.3	1.582	17
66.0	1.415	18
73.1	1.295	24

Crystal structure
abc: 16.392 16.392 16.392
angles: 164.31 164.31 22.26
Fractional positions:
Pr 0.104 0.104 0.000
Pr 0.308 0.308 0.000
Pr 0.692 0.692 0.000
Pr 0.896 0.896 0.000
Dy 0.500 0.500 0.000
Te 0.000 0.000 0.000
Te 0.205 0.205 0.000
Te 0.406 0.406 0.000
Te 0.594 0.594 0.000
Te 0.795 0.795 0.000

Record 4
The following is a computed powder XRD pattern of Sc5NiTe2. It was derived from the PBE geometry in Alexandria, using Cu Kα, 1.54184 Å.

Peak list (8 most intense, 15 to 90 degrees two-theta, sorted by position)
two_theta	d/Å	I/Imax
24.2	3.677	23
26.2	3.404	39
33.4	2.683	100
34.0	2.638	65
36.1	2.488	52
40.0	2.256	22
43.4	2.087	33
46.7	1.945	23

Crystal structure
abc: 7.354 11.519 4.174
angles: 90.00 90.00 90.00
Fractional positions:
Sc 0.000 0.000 0.000
Sc 0.141 0.304 0.000
Sc 0.179 0.567 0.500
Sc 0.321 0.067 0.500
Sc 0.359 0.804 0.000
Sc 0.500 0.500 0.000
Sc 0.641 0.196 0.000
Sc 0.679 0.933 0.500
Sc 0.821 0.433 0.500
Sc 0.859 0.696 0.000
Ni 0.000 0.500 0.000
Ni 0.500 0.000 0.000
Te 0.065 0.827 0.500
Te 0.435 0.327 0.500
Te 0.565 0.673 0.500
Te 0.935 0.173 0.500